Structure and calculated PXRD pattern of Sr3B2MoO8 (a DFT-relaxed cell (GGA+U, Alexandria); copper Kα).
Kinematic intensities with the Lorentz-polarization factor, no thermal factor.

Peak list (12 most intense, 2θ from 10° to 80°, in order of falling intensity)
2θ = 32.35°, d = 2.768 Å, I 100
2θ = 33.75°, d = 2.656 Å, I 98
2θ = 47.45°, d = 1.916 Å, I 53
2θ = 59.49°, d = 1.554 Å, I 32
2θ = 41.36°, d = 2.183 Å, I 31
2θ = 23.21°, d = 3.832 Å, I 27
2θ = 70.99°, d = 1.328 Å, I 18
2θ = 19.30°, d = 4.600 Å, I 17
2θ = 60.37°, d = 1.533 Å, I 17
2θ = 12.77°, d = 6.931 Å, I 14
2θ = 64.18°, d = 1.451 Å, I 13
2θ = 67.71°, d = 1.384 Å, I 12

a b c (Å): 5.311 5.311 6.931
angles (deg): 90.00 90.00 120.00
Positions (direct):
1 Sr 0.000 0.000 0.000
2 Sr 0.333 0.667 0.695
3 Sr 0.667 0.333 0.305
4 B 0.333 0.667 0.234
5 B 0.667 0.333 0.766
6 Mo 0.000 0.000 0.500
7 O 0.178 0.356 0.319
8 O 0.178 0.822 0.319
9 O 0.333 0.667 0.033
10 O 0.356 0.178 0.681
11 O 0.644 0.822 0.319
12 O 0.667 0.333 0.967
13 O 0.822 0.178 0.681
14 O 0.822 0.644 0.681